For Li3V2F12, a GGA+U-relaxed structure gives the computed PXRD pattern in this record (copper Kα).
Peak positions follow from Bragg's law for the DFT cell and can differ from measured ones.

Main lines, low angle first (10° ≤ 2θ ≤ 80°):
4.453 Å, 19.94 deg, intensity 61
4.366 Å, 20.34 deg, intensity 96
4.234 Å, 20.98 deg, intensity 100
3.556 Å, 25.04 deg, intensity 36
3.390 Å, 26.29 deg, intensity 25
2.697 Å, 33.21 deg, intensity 19
2.279 Å, 39.54 deg, intensity 35
2.233 Å, 40.38 deg, intensity 38

Structure:
Cell: 5.0145 8.9064 9.6355 Å, 90.00 92.74 90.00°
Fractional positions:
1 Li 0.0000 0.1064 0.0000
2 Li 0.0000 0.8936 0.5000
3 Li 0.4728 0.3376 0.2222
4 Li 0.4728 0.6624 0.7222
5 Li 0.9799 0.1879 0.7098
6 Li 0.9799 0.8121 0.2098
7 V 0.4951 0.9995 0.2393
8 V 0.4951 0.0005 0.7393
9 V 0.9863 0.4982 0.9708
10 V 0.9863 0.5018 0.4708
11 F 0.1072 0.3406 0.8696
12 F 0.1072 0.6594 0.3696
13 F 0.1694 0.3734 0.3664
14 F 0.1694 0.6266 0.8664
15 F 0.2043 0.0189 0.8550
16 F 0.2043 0.9811 0.3550
17 F 0.2763 0.4796 0.0908
18 F 0.2763 0.5204 0.5908
19 F 0.3070 0.1523 0.1291
20 F 0.3070 0.8477 0.6291
21 F 0.3269 0.1488 0.6348
22 F 0.3269 0.8512 0.1348
23 F 0.6439 0.1626 0.3275
24 F 0.6439 0.8374 0.8275
25 F 0.6984 0.4842 0.3510
26 F 0.6984 0.5158 0.8510
27 F 0.7037 0.1390 0.8482
28 F 0.7037 0.8610 0.3482
29 F 0.7879 0.0121 0.6178
30 F 0.7879 0.9879 0.1178
31 F 0.8097 0.3612 0.0742
32 F 0.8097 0.6388 0.5742
33 F 0.8649 0.3512 0.5771
34 F 0.8649 0.6488 0.0771